This entry pairs a crystal structure of Ta7InO19 with its calculated powder diffraction line list. Radiation: a wavelength of 1.5418 Å. Structure: a structure optimized by DFT (GGA-PBE).
Kinematic intensities with the Lorentz-polarization factor, no thermal factor.

Principal peaks in the range 2θ from 10° to 90°, in order of rising 2θ:
hkl 1 0 0, d = 5.413 Å, 16.4°, rel. 30; hkl 0 0 4, d = 5.052 Å, 17.6°, rel. 29; hkl 0 0 6, d = 3.368 Å, 26.5°, rel. 64; hkl 1 1 1, d = 3.089 Å, 28.9°, rel. 100; hkl 1 1 2, d = 2.986 Å, 29.9°, rel. 36; hkl 1 1 4, d = 2.658 Å, 33.7°, rel. 45; hkl 1 1 5, d = 2.472 Å, 36.3°, rel. 51; hkl 3 0 0, d = 1.804 Å, 50.6°, rel. 38; hkl 1 1 10, d = 1.698 Å, 54.0°, rel. 28; hkl 3 0 6, d = 1.591 Å, 58.0°, rel. 39

Structure:
Cell: 6.2506 6.2506 20.2089 Å, 90.00 90.00 120.00°
Space group P-6c2 (No. 188)
Inequivalent atoms, fractional coordinates:
Ta  0.0000  0.0000  0.0000 (multiplicity 2)
Ta  0.3347  0.0285  0.1556 (multiplicity 12)
In  0.6667  0.3333  0.0000 (multiplicity 2)
O  0.0000  0.0000  0.1642 (multiplicity 4)
O  0.0868  0.4195  0.6529 (multiplicity 12)
O  0.2964  0.0576  0.0550 (multiplicity 12)
O  0.3724  0.0804  0.2500 (multiplicity 6)
O  0.6667  0.3333  0.1349 (multiplicity 4)